No. 1
Diffraction record for Tb5YIn3. The PXRD pattern is calculated, not measured: it uses a structure optimized by DFT (GGA-PBE) and Cu Kα.
Neutral-atom scattering factors, no anomalous dispersion.

Largest 10 diffraction maxima, by intensity, 2θ = 5–70°:
hkl  2theta  d [Å]  I (rel.)
3 0 0  33.10  2.706  100
1 1 2  32.66  2.742  92
4 1 2  58.85  1.569  34
2 2 2  47.19  1.926  33
3 0 4  65.06  1.434  28
3 3 0  59.12  1.563  19
6 0 0  69.46  1.353  12
3 0 2  42.80  2.113  11
0 0 4  54.28  1.690  8
0 0 2  26.37  3.380  7

Crystal structure
Unit cell a=9.3755 b=9.3755 c=6.7605 alpha=90.00 beta=90.00 gamma=120.00
Space group P6_3/mcm (No. 193)
Inequivalent atoms, fractional coordinates:
Tb (0.0000, 0.3362, 0.2500)
Tb (0.3333, 0.6667, 0.0000)
Y (0.0000, 0.0000, 0.0000)
In (0.0000, 0.3299, 0.7500)

---

No. 2
Diffraction record for Pu3TlCl8. The PXRD pattern is calculated, not measured: it uses a structure optimized by DFT (GGA-PBE) and Cu Kα.
Neutral-atom scattering factors, no anomalous dispersion.

Largest 10 diffraction maxima, by intensity, 2θ = 5–70°:
hkl  2theta  d [Å]  I (rel.)
1 0 1  12.84  6.896  100
0 2 4  29.06  3.073  98
0 0 3  11.32  7.818  77
1 1 3  24.21  3.676  42
2 0 8  39.61  2.275  37
2 0 2  25.84  3.448  36
2 2 0  43.45  2.083  34
2 2 6  49.57  1.839  23
0 1 5  22.61  3.933  23
0 2 1  24.97  3.566  23

Crystal structure
Unit cell a=8.3312 b=8.3312 c=23.4536 alpha=90.00 beta=90.00 gamma=120.00
Space group R-3m (No. 166, hexagonal axes)
Inequivalent atoms, fractional coordinates:
Pu (0.0000, 0.5000, 0.0000)
Tl (0.0000, 0.0000, 0.5000)
Cl (0.0000, 0.0000, 0.2688)
Cl (0.0226, 0.5113, 0.2678)